Record 1
For NaLi2Np2O6, the PBE geometry in Alexandria gives the theoretical powder X-ray diffraction pattern in this record (Cu Ka).
No peak broadening, texture or thermal motion is included.

The 10 most intense peaks (2θ = 10–80°), in order of rising 2θ:
2θ = 13.5°, I = 100
2θ = 17.7°, I = 60
2θ = 25.0°, I = 40
2θ = 29.8°, I = 48
2θ = 32.9°, I = 61
2θ = 36.4°, I = 24
2θ = 40.8°, I = 43
2θ = 51.8°, I = 15
2θ = 54.9°, I = 15
2θ = 57.3°, I = 14

Cell and atoms:
```
NaLi2Np2O6
1.0
2.9971 1.7304 6.5466
-2.9971 1.7304 6.5466
0.0000 -3.4607 6.5466
Na Li Np O
1 2 2 6
Direct
0.0000 0.0000 0.0000 Na
0.4235 0.4235 0.4235 Li
0.5765 0.5765 0.5765 Li
0.1566 0.1566 0.1566 Np
0.8434 0.8434 0.8434 Np
0.2093 0.7459 0.7459 O
0.2541 0.2541 0.7907 O
0.2541 0.7907 0.2541 O
0.7459 0.2093 0.7459 O
0.7459 0.7459 0.2093 O
0.7907 0.2541 0.2541 O
```

Record 2
For NaLi2NpS4, the PBE geometry in Alexandria gives the theoretical powder X-ray diffraction pattern in this record (Cu Ka).
No peak broadening, texture or thermal motion is included.

The 10 most intense peaks (2θ = 10–80°), in order of rising 2θ:
2θ = 16.2°, I = 26
2θ = 18.3°, I = 100
2θ = 23.3°, I = 22
2θ = 29.5°, I = 23
2θ = 32.7°, I = 17
2θ = 33.2°, I = 34
2θ = 37.2°, I = 14
2θ = 38.2°, I = 33
2θ = 45.0°, I = 15
2θ = 47.3°, I = 23

Cell and atoms:
```
NaLi2NpS4
1.0
5.3921 0.0000 0.0000
0.0000 5.3921 0.0000
0.0000 0.0000 10.9635
Na Li Np S
2 4 2 8
Direct
0.0000 0.0000 0.0000 Na
0.5000 0.5000 0.5000 Na
0.0000 0.0000 0.5000 Li
0.0000 0.5000 0.2500 Li
0.5000 0.0000 0.7500 Li
0.5000 0.5000 0.0000 Li
0.0000 0.5000 0.7500 Np
0.5000 0.0000 0.2500 Np
0.0000 0.0000 0.2591 S
0.0000 0.0000 0.7409 S
0.0000 0.5000 0.5222 S
0.0000 0.5000 0.9778 S
0.5000 0.0000 0.0222 S
0.5000 0.0000 0.4778 S
0.5000 0.5000 0.2409 S
0.5000 0.5000 0.7591 S
```

Record 3
For Na2Li2OsO6, the PBE geometry in Alexandria gives the theoretical powder X-ray diffraction pattern in this record (Cu Ka).
No peak broadening, texture or thermal motion is included.

The 10 most intense peaks (2θ = 10–80°), in order of rising 2θ:
2θ = 16.4°, I = 37
2θ = 20.0°, I = 60
2θ = 26.0°, I = 100
2θ = 35.0°, I = 21
2θ = 38.9°, I = 19
2θ = 39.1°, I = 17
2θ = 44.1°, I = 22
2θ = 49.0°, I = 32
2θ = 57.6°, I = 21
2θ = 65.5°, I = 15

Cell and atoms:
```
Na2Li2OsO6
1.0
5.1217 0.0000 0.0000
-2.5609 4.4355 0.0000
0.0000 0.0000 5.4004
Na Li Os O
2 2 1 6
Direct
0.3333 0.6667 0.0000 Na
0.6667 0.3333 0.0000 Na
0.3333 0.6667 0.5000 Li
0.6667 0.3333 0.5000 Li
0.0000 0.0000 0.5000 Os
0.0000 0.3019 0.3018 O
0.0000 0.6981 0.6982 O
0.3019 0.0000 0.3018 O
0.3019 0.3019 0.6982 O
0.6981 0.0000 0.6982 O
0.6981 0.6981 0.3018 O
```

Record 4
For NaLi2OsO4, the PBE geometry in Alexandria gives the theoretical powder X-ray diffraction pattern in this record (Cu Ka).
No peak broadening, texture or thermal motion is included.

The 10 most intense peaks (2θ = 10–80°), in order of rising 2θ:
2θ = 21.1°, I = 100
2θ = 23.4°, I = 55
2θ = 26.3°, I = 21
2θ = 33.4°, I = 14
2θ = 35.5°, I = 49
2θ = 39.8°, I = 32
2θ = 43.0°, I = 21
2θ = 47.9°, I = 15
2θ = 55.8°, I = 15
2θ = 61.0°, I = 20

Cell and atoms:
```
NaLi2OsO4
1.0
5.3683 0.0000 0.0000
0.0000 5.3683 0.0000
0.0000 0.0000 6.7859
Na Li Os O
2 4 2 8
Direct
0.0000 0.0000 0.0000 Na
0.5000 0.5000 0.5000 Na
0.0000 0.5000 0.2500 Li
0.0000 0.5000 0.7500 Li
0.5000 0.0000 0.2500 Li
0.5000 0.0000 0.7500 Li
0.0000 0.0000 0.5000 Os
0.5000 0.5000 0.0000 Os
0.2205 0.2205 0.3807 O
0.2205 0.7795 0.6193 O
0.2795 0.2795 0.8807 O
0.2795 0.7205 0.1193 O
0.7205 0.2795 0.1193 O
0.7205 0.7205 0.8807 O
0.7795 0.2205 0.6193 O
0.7795 0.7795 0.3807 O
```

Record 5
For NaLiPO4, the PBE geometry in Alexandria gives the theoretical powder X-ray diffraction pattern in this record (Cu Ka).
No peak broadening, texture or thermal motion is included.

The 10 most intense peaks (2θ = 10–80°), in order of rising 2θ:
2θ = 21.3°, I = 65
2θ = 23.4°, I = 43
2θ = 25.2°, I = 68
2θ = 34.7°, I = 100
2θ = 42.2°, I = 18
2θ = 43.3°, I = 19
2θ = 51.8°, I = 12
2θ = 54.8°, I = 20
2θ = 61.2°, I = 22
2θ = 63.8°, I = 16

Cell and atoms:
```
NaLiPO4
1.0
4.9962 0.0000 0.0000
0.0000 4.9962 0.0000
0.0000 0.0000 7.6087
Na Li P O
2 2 2 8
Direct
0.0000 0.0000 0.0000 Na
0.5000 0.5000 0.5000 Na
0.0000 0.5000 0.7500 Li
0.5000 0.0000 0.2500 Li
0.0000 0.0000 0.5000 P
0.5000 0.5000 0.0000 P
0.1456 0.2127 0.6128 O
0.2127 0.8544 0.3872 O
0.2873 0.6456 0.8872 O
0.3544 0.2873 0.1128 O
0.6456 0.7127 0.1128 O
0.7127 0.3544 0.8872 O
0.7873 0.1456 0.3872 O
0.8544 0.7873 0.6128 O
```

Record 6
For NaLiZnP2O7, the PBE geometry in Alexandria gives the theoretical powder X-ray diffraction pattern in this record (Cu Ka).
No peak broadening, texture or thermal motion is included.

The 10 most intense peaks (2θ = 10–80°), in order of rising 2θ:
2θ = 14.1°, I = 15
2θ = 19.4°, I = 100
2θ = 26.9°, I = 60
2θ = 28.0°, I = 46
2θ = 31.3°, I = 22
2θ = 31.6°, I = 18
2θ = 36.7°, I = 27
2θ = 37.4°, I = 18
2θ = 40.2°, I = 13
2θ = 58.8°, I = 16

Cell and atoms:
```
NaLiZnP2O7
1.0
3.8930 -6.2942 0.0000
3.8930 6.2942 0.0000
0.0000 0.0000 6.3365
Na Li Zn P O
2 2 2 4 14
Direct
0.2469 0.2469 0.0000 Na
0.7531 0.7531 0.5000 Na
0.2852 0.7148 0.7500 Li
0.7148 0.2852 0.2500 Li
0.2827 0.7173 0.2500 Zn
0.7173 0.2827 0.7500 Zn
0.0827 0.3146 0.5061 P
0.3146 0.0827 0.4939 P
0.6854 0.9173 0.9939 P
0.9173 0.6854 0.0061 P
0.1003 0.1003 0.5000 O
0.1489 0.7599 0.9981 O
0.1784 0.4243 0.7081 O
0.1831 0.4248 0.3005 O
0.2401 0.8511 0.5019 O
0.4243 0.1784 0.2919 O
0.4248 0.1831 0.6995 O
0.5752 0.8169 0.1995 O
0.5757 0.8216 0.7919 O
0.7599 0.1489 0.0019 O
0.8169 0.5752 0.8005 O
0.8216 0.5757 0.2081 O
0.8511 0.2401 0.4981 O
0.8997 0.8997 0.0000 O
```

Record 7
For Na2LiPt2O6, the PBE geometry in Alexandria gives the theoretical powder X-ray diffraction pattern in this record (Cu Ka).
No peak broadening, texture or thermal motion is included.

The 10 most intense peaks (2θ = 10–80°), in order of rising 2θ:
2θ = 16.3°, I = 100
2θ = 18.8°, I = 21
2θ = 20.0°, I = 26
2θ = 22.4°, I = 35
2θ = 29.0°, I = 17
2θ = 32.9°, I = 17
2θ = 33.6°, I = 26
2θ = 35.1°, I = 25
2θ = 39.8°, I = 42
2θ = 41.2°, I = 19

Cell and atoms:
```
Na2LiPt2O6
1.0
2.6332 -4.7167 0.0000
2.6332 4.7167 0.0000
-1.6288 0.0000 5.4377
Na Li Pt O
2 1 2 6
Direct
0.1584 0.8416 0.0000 Na
0.8416 0.1584 0.0000 Na
0.0000 0.0000 0.5000 Li
0.3366 0.6634 0.5000 Pt
0.6634 0.3366 0.5000 Pt
0.0532 0.4130 0.6961 O
0.2863 0.2863 0.3051 O
0.4130 0.0532 0.6961 O
0.5870 0.9468 0.3039 O
0.7137 0.7137 0.6949 O
0.9468 0.5870 0.3039 O
```

Record 8
For Na4LiPu3O12, the PBE geometry in Alexandria gives the theoretical powder X-ray diffraction pattern in this record (Cu Ka).
No peak broadening, texture or thermal motion is included.

The 10 most intense peaks (2θ = 10–80°), in order of rising 2θ:
2θ = 14.9°, I = 54
2θ = 21.2°, I = 100
2θ = 26.0°, I = 30
2θ = 30.2°, I = 100
2θ = 43.2°, I = 34
2θ = 48.6°, I = 45
2θ = 53.6°, I = 42
2θ = 62.7°, I = 21
2θ = 67.0°, I = 22
2θ = 71.1°, I = 19

Cell and atoms:
```
Na4LiPu3O12
1.0
-4.1909 4.1909 4.1909
4.1909 -4.1909 4.1909
4.1909 4.1909 -4.1909
Na Li Pu O
4 1 3 12
Direct
0.0000 0.0000 0.5000 Na
0.0000 0.5000 0.0000 Na
0.5000 0.0000 0.0000 Na
0.5000 0.5000 0.5000 Na
0.0000 0.0000 0.0000 Li
0.0000 0.5000 0.5000 Pu
0.5000 0.0000 0.5000 Pu
0.5000 0.5000 0.0000 Pu
0.0000 0.2730 0.2730 O
0.0000 0.7270 0.7270 O
0.2500 0.5000 0.7500 O
0.2500 0.7500 0.5000 O
0.2730 0.0000 0.2730 O
0.2730 0.2730 0.0000 O
0.5000 0.2500 0.7500 O
0.5000 0.7500 0.2500 O
0.7270 0.0000 0.7270 O
0.7270 0.7270 0.0000 O
0.7500 0.2500 0.5000 O
0.7500 0.5000 0.2500 O
```